The following is a calculated XRD peak list of Na5Sr4Hg2. It was derived from the PBE geometry in Alexandria, using Cu Kα, 1.54184 Å.
Lines closer than 0.1° are merged.

Cell lengths 9.0527, 4.3157, 11.3712 Å; angles 90.00, 93.31, 90.00 degrees
Fractional coordinates of all 11 atoms:
1 Na 0.0000 0.0000 0.0000
2 Na 0.0521 0.0000 0.3231
3 Na 0.3120 0.0000 0.8431
4 Na 0.6880 0.0000 0.1569
5 Na 0.9479 0.0000 0.6769
6 Sr 0.2942 0.5000 0.5506
7 Sr 0.3349 0.5000 0.1468
8 Sr 0.6651 0.5000 0.8532
9 Sr 0.7058 0.5000 0.4494
10 Hg 0.4313 0.0000 0.3555
11 Hg 0.5687 0.0000 0.6445

Peak list (10 most intense, 2θ from 10° to 90°, sorted by position)
2θ (°)  I_rel
12.2  100.0
27.5  27.7
28.1  66.1
28.6  53.2
31.5  82.5
31.7  27.2
32.2  44.3
32.5  33.0
33.3  27.4
33.4  31.7

***

The following is a calculated XRD peak list of Na5Sr12Hg2. It was derived from the PBE geometry in Alexandria, using Cu Kα, 1.54184 Å.
Lines closer than 0.1° are merged.

Cell lengths 12.0904, 12.0904, 10.1979 Å; angles 109.69, 109.69, 41.44 degrees
Fractional coordinates of all 19 atoms:
1 Na 0.0000 0.0000 0.0000
2 Na 0.2460 0.2460 0.4976
3 Na 0.2520 0.2520 0.0009
4 Na 0.7480 0.7480 0.9991
5 Na 0.7540 0.7540 0.5024
6 Sr 0.0234 0.0234 0.3408
7 Sr 0.1035 0.6030 0.8414
8 Sr 0.1043 0.5974 0.3228
9 Sr 0.3970 0.8965 0.1586
10 Sr 0.4026 0.8957 0.6772
11 Sr 0.4897 0.4897 0.2019
12 Sr 0.5103 0.5103 0.7981
13 Sr 0.5974 0.1043 0.3228
14 Sr 0.6030 0.1035 0.8414
15 Sr 0.8957 0.4026 0.6772
16 Sr 0.8965 0.3970 0.1586
17 Sr 0.9766 0.9766 0.6592
18 Hg 0.3191 0.6809 0.5000
19 Hg 0.6809 0.3191 0.5000

Peak list (10 most intense, 2θ from 10° to 90°, sorted by position)
2θ (°)  I_rel
10.0  47.8
14.6  22.4
17.5  46.1
25.3  46.9
26.8  38.1
27.3  100.0
29.5  27.9
34.0  28.1
38.7  23.2
47.2  24.0

***

The following is a calculated XRD peak list of Na2Sr4Hg. It was derived from the PBE geometry in Alexandria, using Cu Kα, 1.54184 Å.
Lines closer than 0.1° are merged.

Cell lengths 10.2530, 10.2530, 10.2530 Å; angles 147.60, 147.60, 46.47 degrees
Fractional coordinates of all 7 atoms:
1 Na 0.2499 0.2499 0.0000
2 Na 0.7501 0.7501 0.0000
3 Sr 0.1028 0.6028 0.5000
4 Sr 0.3972 0.8972 0.5000
5 Sr 0.6028 0.1028 0.5000
6 Sr 0.8972 0.3972 0.5000
7 Hg 0.0000 0.0000 0.0000

Peak list (10 most intense, 2θ from 10° to 90°, sorted by position)
2θ (°)  I_rel
16.2  51.7
21.0  28.7
28.4  15.2
29.1  100.0
31.3  50.0
35.4  15.9
36.2  31.8
44.8  18.4
54.3  34.4
58.9  15.7